For TiFe11O16, a cell relaxed with GGA+U gives the simulated powder XRD pattern in this record (copper Kα).

Most intense lines, 15 to 90 degrees two-theta, low angle first:
2θ/deg	I (rel.)
17.87	10.5
29.39	41.8
34.59	100.0
34.65	46.4
36.21	11.1
42.10	19.9
55.43	13.1
55.60	35.8
60.96	55.6
61.10	11.1

Structure:
```
TiFe11O16
1.0
8.6154 0.0000 0.0000
0.0000 12.1342 0.0000
0.0000 0.0000 6.0736
Ti Fe O
2 22 32
Direct
0.0000 0.0000 0.0000
0.5000 0.5000 0.5000
0.0000 0.5000 0.0000
0.0030 0.2561 0.0000
0.1280 0.6250 0.5000
0.1301 0.1253 0.5000
0.2495 0.3747 0.2493
0.2495 0.3747 0.7507
0.2505 0.8747 0.2507
0.2505 0.8747 0.7493
0.3699 0.6253 0.0000
0.3720 0.1250 0.0000
0.4970 0.7561 0.5000
0.5000 0.0000 0.5000
0.5030 0.2439 0.5000
0.6280 0.8750 0.0000
0.6301 0.3747 0.0000
0.7495 0.1253 0.2507
0.7495 0.1253 0.7493
0.7505 0.6253 0.2493
0.7505 0.6253 0.7507
0.8699 0.8747 0.5000
0.8720 0.3750 0.5000
0.9970 0.7439 0.0000
0.0003 0.3703 0.2415
0.0003 0.3703 0.7585
0.9997 0.6297 0.2415
0.9997 0.6297 0.7585
0.0028 0.1209 0.2294
0.0028 0.1209 0.7706
0.2303 0.0004 0.0000
0.2384 0.2513 0.0000
0.2382 0.7539 0.0000
0.2470 0.4952 0.0000
0.2530 0.9952 0.5000
0.2618 0.2539 0.5000
0.2616 0.7513 0.5000
0.2697 0.5004 0.5000
0.4972 0.6209 0.2706
0.4972 0.6209 0.7294
0.5003 0.1297 0.2585
0.5003 0.1297 0.7415
0.4997 0.8703 0.2585
0.4997 0.8703 0.7415
0.5028 0.3791 0.2706
0.5028 0.3791 0.7294
0.7303 0.4996 0.5000
0.7384 0.2487 0.5000
0.7382 0.7461 0.5000
0.7470 0.0048 0.5000
0.7530 0.5048 0.0000
0.7618 0.2461 0.0000
0.7616 0.7487 0.0000
0.7697 0.9996 0.0000
0.9972 0.8791 0.2294
0.9972 0.8791 0.7706
```